Structure and calculated X-ray powder pattern of FeW2Cl10 (DFT lattice parameters and positions (PBE); Cu Kα, 1.54184 Å).

Largest 10 diffraction maxima, most intense first, 10 to 90 degrees two-theta:
2θ = 13.87°, I = 100
2θ = 15.73°, I = 54
2θ = 17.60°, I = 41
2θ = 35.51°, I = 37
2θ = 33.96°, I = 26
2θ = 12.55°, I = 26
2θ = 23.99°, I = 17
2θ = 30.35°, I = 16
2θ = 51.19°, I = 13
2θ = 48.70°, I = 12

Atomic structure:
```
FeW2Cl10
1.0
3.150 -8.462 0.000
3.150 8.462 0.000
-2.019 0.000 12.771
Fe W Cl
2 4 20
Direct
0.057 0.943 0.750 Fe
0.943 0.057 0.250 Fe
0.272 0.728 0.750 W
0.429 0.571 0.750 W
0.571 0.429 0.250 W
0.728 0.272 0.250 W
0.055 0.735 0.858 Cl
0.076 0.591 0.351 Cl
0.105 0.212 0.646 Cl
0.212 0.105 0.146 Cl
0.224 0.523 0.880 Cl
0.265 0.945 0.642 Cl
0.320 0.391 0.352 Cl
0.391 0.320 0.852 Cl
0.409 0.924 0.149 Cl
0.477 0.776 0.620 Cl
0.523 0.224 0.380 Cl
0.591 0.076 0.851 Cl
0.609 0.680 0.148 Cl
0.680 0.609 0.648 Cl
0.735 0.055 0.358 Cl
0.776 0.477 0.120 Cl
0.788 0.895 0.854 Cl
0.895 0.788 0.354 Cl
0.924 0.409 0.649 Cl
0.945 0.265 0.142 Cl
```


Structure and calculated X-ray powder pattern of Ga3Cl7 (DFT lattice parameters and positions (PBE); Cu Kα, 1.54184 Å).

Largest 10 diffraction maxima, most intense first, 10 to 90 degrees two-theta:
2θ = 16.84°, I = 100
2θ = 29.39°, I = 90
2θ = 29.63°, I = 86
2θ = 20.83°, I = 85
2θ = 26.67°, I = 67
2θ = 20.51°, I = 64
2θ = 30.78°, I = 63
2θ = 14.69°, I = 61
2θ = 24.20°, I = 48
2θ = 22.42°, I = 46

Atomic structure:
```
Ga3Cl7
1.0
12.066 0.000 0.000
0.000 9.116 0.000
0.000 0.000 10.778
Ga Cl
12 28
Direct
0.109 0.142 0.000 Ga
0.114 0.618 0.136 Ga
0.174 0.070 0.376 Ga
0.326 0.570 0.876 Ga
0.386 0.118 0.636 Ga
0.391 0.642 0.500 Ga
0.609 0.358 0.000 Ga
0.614 0.882 0.136 Ga
0.674 0.430 0.376 Ga
0.826 0.930 0.876 Ga
0.886 0.382 0.636 Ga
0.891 0.858 0.500 Ga
0.006 0.797 0.191 Cl
0.016 0.165 0.322 Cl
0.033 0.457 0.014 Cl
0.155 0.873 0.491 Cl
0.211 0.520 0.284 Cl
0.216 0.547 0.717 Cl
0.243 0.739 0.008 Cl
0.257 0.239 0.508 Cl
0.284 0.047 0.217 Cl
0.289 0.020 0.784 Cl
0.345 0.373 0.991 Cl
0.467 0.957 0.514 Cl
0.484 0.665 0.822 Cl
0.494 0.297 0.691 Cl
0.506 0.703 0.191 Cl
0.516 0.335 0.322 Cl
0.533 0.043 0.014 Cl
0.655 0.627 0.491 Cl
0.711 0.980 0.284 Cl
0.716 0.953 0.717 Cl
0.743 0.761 0.008 Cl
0.757 0.261 0.508 Cl
0.784 0.453 0.217 Cl
0.789 0.480 0.784 Cl
0.845 0.127 0.991 Cl
0.967 0.543 0.514 Cl
0.984 0.835 0.822 Cl
0.994 0.203 0.691 Cl
```


Structure and calculated X-ray powder pattern of GaCl3 (DFT lattice parameters and positions (PBE); Cu Kα, 1.54184 Å).

Largest 10 diffraction maxima, most intense first, 10 to 90 degrees two-theta:
2θ = 14.77°, I = 100
2θ = 16.79°, I = 72
2θ = 24.45°, I = 49
2θ = 29.76°, I = 47
2θ = 23.77°, I = 33
2θ = 39.65°, I = 19
2θ = 53.09°, I = 16
2θ = 23.90°, I = 15
2θ = 38.55°, I = 15
2θ = 29.17°, I = 14

Atomic structure:
```
GaCl3
1.0
12.502 0.000 0.000
0.000 7.486 0.000
-4.416 0.000 5.995
Ga Cl
4 12
Direct
0.155 0.000 0.084 Ga
0.345 0.500 0.916 Ga
0.655 0.500 0.084 Ga
0.845 0.000 0.916 Ga
0.000 0.221 0.000 Cl
0.000 0.779 0.000 Cl
0.187 0.500 0.569 Cl
0.189 0.000 0.835 Cl
0.311 0.500 0.165 Cl
0.313 0.000 0.431 Cl
0.500 0.279 0.000 Cl
0.500 0.721 0.000 Cl
0.687 0.000 0.569 Cl
0.689 0.500 0.835 Cl
0.811 0.000 0.165 Cl
0.813 0.500 0.431 Cl
```


Structure and calculated X-ray powder pattern of GaCl3 (DFT lattice parameters and positions (PBE); Cu Kα, 1.54184 Å).

Largest 10 diffraction maxima, most intense first, 10 to 90 degrees two-theta:
2θ = 15.12°, I = 100
2θ = 16.25°, I = 60
2θ = 17.06°, I = 46
2θ = 23.86°, I = 45
2θ = 24.49°, I = 34
2θ = 30.52°, I = 32
2θ = 14.47°, I = 32
2θ = 23.09°, I = 31
2θ = 29.18°, I = 22
2θ = 23.43°, I = 20

Atomic structure:
```
GaCl3
1.0
7.117 0.000 0.000
-3.247 6.398 0.000
-3.212 -1.906 6.263
Ga Cl
2 6
Direct
0.069 0.152 0.220 Ga
0.931 0.848 0.780 Ga
0.119 0.681 0.803 Cl
0.211 0.215 0.981 Cl
0.345 0.172 0.517 Cl
0.655 0.828 0.483 Cl
0.789 0.785 0.019 Cl
0.881 0.319 0.197 Cl
```


Structure and calculated X-ray powder pattern of GaHCl2 (DFT lattice parameters and positions (PBE); Cu Kα, 1.54184 Å).

Largest 10 diffraction maxima, most intense first, 10 to 90 degrees two-theta:
2θ = 18.09°, I = 100
2θ = 29.85°, I = 77
2θ = 28.93°, I = 40
2θ = 27.71°, I = 37
2θ = 17.27°, I = 36
2θ = 15.52°, I = 35
2θ = 17.45°, I = 27
2θ = 16.76°, I = 24
2θ = 40.25°, I = 23
2θ = 51.85°, I = 19

Atomic structure:
```
GaHCl2
1.0
3.223 -6.174 0.000
3.223 6.174 0.000
-0.483 0.000 10.268
Ga H Cl
4 4 8
Direct
0.058 0.326 0.076 Ga
0.326 0.058 0.576 Ga
0.674 0.942 0.424 Ga
0.942 0.674 0.924 Ga
0.302 0.420 0.134 H
0.420 0.302 0.634 H
0.580 0.698 0.366 H
0.698 0.580 0.866 H
0.031 0.253 0.419 Cl
0.072 0.439 0.860 Cl
0.253 0.031 0.919 Cl
0.439 0.072 0.360 Cl
0.561 0.928 0.640 Cl
0.747 0.969 0.081 Cl
0.928 0.561 0.140 Cl
0.969 0.747 0.581 Cl
```


Structure and calculated X-ray powder pattern of Ga4HCl6 (DFT lattice parameters and positions (PBE); Cu Kα, 1.54184 Å).

Largest 10 diffraction maxima, most intense first, 10 to 90 degrees two-theta:
2θ = 24.80°, I = 100
2θ = 28.39°, I = 67
2θ = 21.51°, I = 43
2θ = 32.82°, I = 40
2θ = 29.96°, I = 37
2θ = 26.55°, I = 36
2θ = 34.20°, I = 36
2θ = 22.34°, I = 36
2θ = 32.20°, I = 32
2θ = 15.32°, I = 32

Atomic structure:
```
Ga4HCl6
1.0
14.529 0.000 0.000
0.000 9.560 0.000
0.000 0.000 8.244
Ga H Cl
16 4 24
Direct
0.000 0.013 0.036 Ga
0.000 0.073 0.749 Ga
0.000 0.441 0.000 Ga
0.000 0.733 0.448 Ga
0.218 0.162 0.335 Ga
0.228 0.405 0.736 Ga
0.272 0.595 0.236 Ga
0.282 0.838 0.835 Ga
0.500 0.267 0.948 Ga
0.500 0.559 0.500 Ga
0.500 0.927 0.249 Ga
0.500 0.987 0.536 Ga
0.718 0.838 0.835 Ga
0.728 0.595 0.236 Ga
0.772 0.405 0.736 Ga
0.782 0.162 0.335 Ga
0.221 0.336 0.566 H
0.279 0.664 0.066 H
0.721 0.664 0.066 H
0.779 0.336 0.566 H
0.000 0.184 0.228 Cl
0.000 0.293 0.656 Cl
0.121 0.971 0.613 Cl
0.123 0.885 0.119 Cl
0.131 0.512 0.298 Cl
0.139 0.598 0.772 Cl
0.193 0.264 0.943 Cl
0.307 0.736 0.443 Cl
0.361 0.402 0.272 Cl
0.369 0.488 0.798 Cl
0.377 0.115 0.619 Cl
0.379 0.029 0.113 Cl
0.500 0.707 0.156 Cl
0.500 0.816 0.728 Cl
0.621 0.029 0.113 Cl
0.623 0.115 0.619 Cl
0.631 0.488 0.798 Cl
0.639 0.402 0.272 Cl
0.693 0.736 0.443 Cl
0.807 0.264 0.943 Cl
0.861 0.598 0.772 Cl
0.869 0.512 0.298 Cl
0.877 0.885 0.119 Cl
0.879 0.971 0.613 Cl
```


Structure and calculated X-ray powder pattern of Ga4Hg11P4Cl16 (DFT lattice parameters and positions (PBE); Cu Kα, 1.54184 Å).

Largest 10 diffraction maxima, most intense first, 10 to 90 degrees two-theta:
2θ = 13.61°, I = 100
2θ = 27.45°, I = 53
2θ = 47.47°, I = 41
2θ = 28.16°, I = 36
2θ = 23.22°, I = 30
2θ = 43.71°, I = 29
2θ = 27.35°, I = 28
2θ = 24.56°, I = 22
2θ = 28.55°, I = 19
2θ = 28.94°, I = 18

Atomic structure:
```
Ga4Hg11P4Cl16
1.0
6.638 -3.828 0.000
6.638 3.828 0.000
-4.200 0.000 22.181
Ga Hg P Cl
4 11 4 16
Direct
0.131 0.131 0.387 Ga
0.288 0.288 0.885 Ga
0.712 0.712 0.115 Ga
0.869 0.869 0.613 Ga
0.022 0.022 0.060 Hg
0.244 0.244 0.219 Hg
0.244 0.744 0.220 Hg
0.256 0.756 0.780 Hg
0.461 0.461 0.380 Hg
0.500 0.500 0.500 Hg
0.539 0.539 0.620 Hg
0.744 0.244 0.220 Hg
0.756 0.256 0.780 Hg
0.756 0.756 0.781 Hg
0.978 0.978 0.940 Hg
0.063 0.063 0.174 P
0.425 0.425 0.265 P
0.575 0.575 0.735 P
0.937 0.937 0.826 P
0.019 0.544 0.086 Cl
0.036 0.036 0.652 Cl
0.036 0.572 0.652 Cl
0.161 0.161 0.484 Cl
0.257 0.257 0.785 Cl
0.428 0.964 0.348 Cl
0.456 0.456 0.915 Cl
0.456 0.981 0.914 Cl
0.544 0.019 0.086 Cl
0.544 0.544 0.085 Cl
0.572 0.036 0.652 Cl
0.743 0.743 0.215 Cl
0.839 0.839 0.516 Cl
0.964 0.428 0.348 Cl
0.964 0.964 0.348 Cl
0.981 0.456 0.914 Cl
```